[1]
NbTcIrPt: calculated powder diffractogram (Cu Kα X-rays), based on a structure optimized by DFT (PBE).

```
data_NbTcIrPt
_chemical_formula_sum 'Nb1 Tc1 Ir1 Pt1'
_space_group_name_H-M_alt 'P m m m'
_space_group_IT_number 47
_cell_length_a 3.8976
_cell_length_b 3.9283
_cell_length_c 4.0239
_cell_angle_alpha 90.00
_cell_angle_beta 90.00
_cell_angle_gamma 90.00
loop_
_space_group_symop_operation_xyz
'x,y,z'
'-x,-y,-z'
'-x,-y,z'
'x,y,-z'
'x,-y,-z'
'-x,y,z'
'-x,y,-z'
'x,-y,z'
loop_
_atom_site_label
_atom_site_type_symbol
_atom_site_fract_x
_atom_site_fract_y
_atom_site_fract_z
Nb1 Nb 0.0000 0.0000 0.0000
Tc1 Tc 0.5000 0.5000 0.0000
Ir1 Ir 0.5000 0.0000 0.5000
Pt1 Pt 0.0000 0.5000 0.5000
```

Main lines, by angle (2θ = 15–90°):
- hkl 0 0 1, 22.09 deg, 4.024 Å, rel. 11
- hkl 1 1 1, 39.53 deg, 2.280 Å, rel. 100
- hkl 0 0 2, 45.06 deg, 2.012 Å, rel. 17
- hkl 0 2 0, 46.22 deg, 1.964 Å, rel. 16
- hkl 2 0 0, 46.61 deg, 1.949 Å, rel. 16
- hkl 0 2 2, 66.53 deg, 1.405 Å, rel. 11
- hkl 2 0 2, 66.84 deg, 1.400 Å, rel. 11
- hkl 2 2 0, 67.73 deg, 1.383 Å, rel. 10
- hkl 1 1 3, 79.40 deg, 1.207 Å, rel. 13
- hkl 1 3 1, 81.08 deg, 1.186 Å, rel. 12
- hkl 3 1 1, 81.64 deg, 1.179 Å, rel. 12
- hkl 2 2 2, 85.11 deg, 1.140 Å, rel. 11



[2]
RbNbTeIr: calculated powder diffractogram (Cu Kα X-rays), based on a structure optimized by DFT (PBE).

```
data_RbNbTeIr
_chemical_formula_sum 'Rb3 Nb3 Te3 Ir3'
_space_group_name_H-M_alt 'R 3 m'
_space_group_IT_number 160
_space_group_name_Hall 'R 3 -2"'
_cell_length_a 4.3221
_cell_length_b 4.3221
_cell_length_c 22.5065
_cell_angle_alpha 90.00
_cell_angle_beta 90.00
_cell_angle_gamma 120.00
loop_
_atom_site_label
_atom_site_type_symbol
_atom_site_fract_x
_atom_site_fract_y
_atom_site_fract_z
Rb1 Rb 0.0000 0.0000 0.0000
Nb1 Nb 0.0000 0.0000 0.4615
Te1 Te 0.0000 0.0000 0.2101
Ir1 Ir 0.0000 0.0000 0.8195
```

Main lines, by angle (2θ = 15–90°):
- hkl 0 0 6, 23.72 deg, 3.751 Å, rel. 28
- hkl 0 1 2, 25.07 deg, 3.552 Å, rel. 21
- hkl 1 0 4, 28.64 deg, 3.116 Å, rel. 24
- hkl 0 1 5, 31.07 deg, 2.878 Å, rel. 100
- hkl 0 1 8, 40.09 deg, 2.249 Å, rel. 32
- hkl 1 1 0, 41.80 deg, 2.161 Å, rel. 67
- hkl 1 1 3, 43.58 deg, 2.077 Å, rel. 32
- hkl 1 1 6, 48.62 deg, 1.873 Å, rel. 27
- hkl 0 1 11, 50.86 deg, 1.795 Å, rel. 20
- hkl 2 0 5, 52.99 deg, 1.728 Å, rel. 22
- hkl 1 2 5, 69.67 deg, 1.350 Å, rel. 20
- hkl 3 0 0, 76.32 deg, 1.248 Å, rel. 15